# HoPaAgSn
Theoretical PXRD pattern, Cu Kα X-rays. Input: a PBE-relaxed structure.

Crystal structure
```
data_HoPaAgSn
_cell_length_a 7.418
_cell_length_b 7.418
_cell_length_c 7.418
_cell_angle_alpha 90.00
_cell_angle_beta 90.00
_cell_angle_gamma 90.00
_space_group_name_H-M_alt 'F -4 3 m'
_space_group_IT_number 216
_space_group_name_Hall 'F -4 2 3'
loop_
_atom_site_label
_atom_site_type_symbol
_atom_site_fract_x
_atom_site_fract_y
_atom_site_fract_z
Ho1 Ho 0.000 0.000 0.000
Pa1 Pa 0.000 0.000 0.500
Ag1 Ag 0.250 0.250 0.750
Sn1 Sn 0.250 0.250 0.250
```

Largest 10 diffraction maxima, by intensity, 2θ = 5–70°:
2θ (°)  I_rel  index
34.2  100  2 2 0
61.2  38  4 2 2
49.1  18  4 0 0
24.0  7  2 0 0
55.4  3  4 2 0
42.2  2  2 2 2
20.7  2  1 1 1
40.3  1  3 1 1
53.9  1  3 3 1
65.4  1  5 1 1